ReAgBr5: calculated XRD peak list (λ = 1.5418 Å (Cu Kα)), based on a cell relaxed with GGA-PBE.
No peak broadening, texture or thermal motion is included.

Atomic structure:
```
ReAgBr5
1.0
6.5383 -3.7120 0.0000
6.5383 3.7120 0.0000
-3.3693 0.0000 8.8170
Re Ag Br
2 2 10
Direct
0.0079 0.9921 0.5000
0.9921 0.0079 0.0000
0.2979 0.4247 0.7906
0.4247 0.2979 0.2906
0.0444 0.3285 0.1327
0.1493 0.8546 0.2498
0.2225 0.6089 0.5346
0.3285 0.0444 0.6327
0.3596 0.7997 0.9557
0.6089 0.2225 0.0346
0.7026 0.9135 0.3692
0.7997 0.3596 0.4557
0.8546 0.1493 0.7498
0.9135 0.7026 0.8692
```

Principal peaks in the range 2θ = 5–70°, in order of falling intensity:
- d = 6.344 Å, 14.0 deg, I = 100.0
- d = 4.398 Å, 20.2 deg, I = 75.5
- d = 6.108 Å, 14.5 deg, I = 75.5
- d = 2.999 Å, 29.8 deg, I = 62.1
- d = 3.983 Å, 22.3 deg, I = 61.9
- d = 3.177 Å, 28.1 deg, I = 61.3
- d = 2.211 Å, 40.8 deg, I = 57.6
- d = 2.064 Å, 43.9 deg, I = 51.4
- d = 2.878 Å, 31.1 deg, I = 48.8
- d = 2.321 Å, 38.8 deg, I = 43.0
- d = 3.570 Å, 24.9 deg, I = 39.8
- d = 2.369 Å, 38.0 deg, I = 39.3


AgRhBr: calculated XRD peak list (λ = 1.5418 Å (Cu Kα)), based on a cell relaxed with GGA-PBE.
No peak broadening, texture or thermal motion is included.

Atomic structure:
```
AgRhBr
1.0
4.4065 0.0000 0.0000
-2.2033 3.8162 0.0000
0.0000 0.0000 3.3663
Ag Rh Br
1 1 1
Direct
0.0000 0.0000 0.0000
0.6667 0.3333 0.5000
0.3333 0.6667 0.5000
```

Principal peaks in the range 2θ = 5–70°, in order of falling intensity:
- d = 2.524 Å, 35.6 deg, I = 100.0
- d = 2.203 Å, 41.0 deg, I = 70.0
- d = 1.660 Å, 55.3 deg, I = 26.8
- d = 1.683 Å, 54.5 deg, I = 9.8
- d = 1.844 Å, 49.4 deg, I = 5.2
- d = 3.366 Å, 26.5 deg, I = 4.9
- d = 3.816 Å, 23.3 deg, I = 2.6


AgRh3Br: calculated XRD peak list (λ = 1.5418 Å (Cu Kα)), based on a cell relaxed with GGA-PBE.
No peak broadening, texture or thermal motion is included.

Atomic structure:
```
AgRh3Br
1.0
4.5915 0.0000 0.0000
0.0000 4.5915 0.0000
0.0000 0.0000 4.5915
Ag Rh Br
1 3 1
Direct
0.0000 0.0000 0.0000
0.0000 0.5000 0.5000
0.5000 0.0000 0.5000
0.5000 0.5000 0.0000
0.5000 0.5000 0.5000
```

Principal peaks in the range 2θ = 5–70°, in order of falling intensity:
- d = 2.296 Å, 39.2 deg, I = 100.0
- d = 2.651 Å, 33.8 deg, I = 93.5
- d = 1.623 Å, 56.7 deg, I = 66.3
- d = 1.384 Å, 67.7 deg, I = 35.3
- d = 3.247 Å, 27.5 deg, I = 15.9
- d = 4.592 Å, 19.3 deg, I = 14.1
- d = 1.874 Å, 48.6 deg, I = 6.2
- d = 2.053 Å, 44.1 deg, I = 6.2
- d = 1.531 Å, 60.5 deg, I = 3.1
- d = 1.452 Å, 64.1 deg, I = 2.6


Tl3Ag2RhBr9: calculated XRD peak list (λ = 1.5418 Å (Cu Kα)), based on a cell relaxed with GGA-PBE.
No peak broadening, texture or thermal motion is included.

Atomic structure:
```
Tl3Ag2RhBr9
1.0
7.6184 0.0000 0.0000
-3.8092 6.5978 0.0000
0.0000 0.0000 9.1409
Tl Ag Rh Br
3 2 1 9
Direct
0.0000 0.0000 0.0000
0.3333 0.6667 0.7046
0.6667 0.3333 0.2954
0.3333 0.6667 0.1755
0.6667 0.3333 0.8245
0.0000 0.0000 0.5000
0.0000 0.5000 0.0000
0.1544 0.3089 0.3371
0.1544 0.8456 0.3371
0.3089 0.1544 0.6629
0.5000 0.0000 0.0000
0.5000 0.5000 0.0000
0.6911 0.8456 0.3371
0.8456 0.1544 0.6629
0.8456 0.6911 0.6629
```

Principal peaks in the range 2θ = 5–70°, in order of falling intensity:
- d = 2.675 Å, 33.5 deg, I = 100.0
- d = 3.103 Å, 28.8 deg, I = 55.0
- d = 3.809 Å, 23.4 deg, I = 45.0
- d = 3.757 Å, 23.7 deg, I = 39.4
- d = 1.905 Å, 47.8 deg, I = 37.2
- d = 1.879 Å, 48.5 deg, I = 29.7
- d = 2.189 Å, 41.2 deg, I = 21.0
- d = 1.551 Å, 59.6 deg, I = 18.0
- d = 3.047 Å, 29.3 deg, I = 14.9
- d = 1.615 Å, 57.0 deg, I = 12.8
- d = 2.199 Å, 41.0 deg, I = 10.0
- d = 1.699 Å, 54.0 deg, I = 9.4


Ag3RuBr8: calculated XRD peak list (λ = 1.5418 Å (Cu Kα)), based on a cell relaxed with GGA-PBE.
No peak broadening, texture or thermal motion is included.

Atomic structure:
```
Ag3RuBr8
1.0
3.8126 -5.8010 0.0000
3.8126 5.8010 0.0000
0.0000 0.0000 8.1928
Ag Ru Br
3 1 8
Direct
0.0000 0.0000 0.0000
0.0000 0.5000 0.7571
0.5000 0.0000 0.2429
0.0000 0.0000 0.5000
0.2170 0.7830 0.5000
0.2255 0.7745 0.0000
0.2286 0.2380 0.7140
0.2380 0.2286 0.2860
0.7620 0.7714 0.2860
0.7714 0.7620 0.7140
0.7745 0.2255 0.0000
0.7830 0.2170 0.5000
```

Principal peaks in the range 2θ = 5–70°, in order of falling intensity:
- d = 2.791 Å, 32.1 deg, I = 100.0
- d = 6.372 Å, 13.9 deg, I = 64.9
- d = 2.011 Å, 45.1 deg, I = 63.9
- d = 2.901 Å, 30.8 deg, I = 51.0
- d = 5.030 Å, 17.6 deg, I = 43.1
- d = 3.446 Å, 25.9 deg, I = 20.6
- d = 1.951 Å, 46.5 deg, I = 17.4
- d = 2.048 Å, 44.2 deg, I = 16.8
- d = 1.906 Å, 47.7 deg, I = 16.3
- d = 1.593 Å, 57.9 deg, I = 15.2
- d = 1.673 Å, 54.9 deg, I = 14.5
- d = 3.181 Å, 28.0 deg, I = 14.5


AgSBr4: calculated XRD peak list (λ = 1.5418 Å (Cu Kα)), based on a cell relaxed with GGA-PBE.
No peak broadening, texture or thermal motion is included.

Atomic structure:
```
AgSBr4
1.0
3.5162 -11.1147 0.0000
3.5162 11.1147 0.0000
-0.0760 0.0000 7.5583
Ag S Br
2 2 8
Direct
0.0008 0.9992 0.7500
0.9992 0.0008 0.2500
0.3659 0.6341 0.7500
0.6341 0.3659 0.2500
0.0842 0.4740 0.8502
0.2560 0.2572 0.0014
0.2572 0.2560 0.5014
0.4740 0.0842 0.3502
0.5260 0.9158 0.6498
0.7428 0.7440 0.4986
0.7440 0.7428 0.9986
0.9158 0.5260 0.1498
```

Principal peaks in the range 2θ = 5–70°, in order of falling intensity:
- d = 11.115 Å, 8.0 deg, I = 100.0
- d = 5.557 Å, 15.9 deg, I = 78.6
- d = 3.705 Å, 24.0 deg, I = 54.8
- d = 5.101 Å, 17.4 deg, I = 44.9
- d = 6.250 Å, 14.2 deg, I = 40.3
- d = 3.026 Å, 29.5 deg, I = 40.1
- d = 2.520 Å, 35.6 deg, I = 35.3
- d = 4.992 Å, 17.8 deg, I = 32.9
- d = 4.477 Å, 19.8 deg, I = 25.7
- d = 2.672 Å, 33.5 deg, I = 25.5
- d = 2.328 Å, 38.7 deg, I = 20.2
- d = 1.894 Å, 48.0 deg, I = 20.2


Ag5S2Br: calculated XRD peak list (λ = 1.5418 Å (Cu Kα)), based on a cell relaxed with GGA-PBE.
No peak broadening, texture or thermal motion is included.

Atomic structure:
```
Ag5S2Br
1.0
2.2660 -6.6235 0.0000
2.2660 6.6235 0.0000
0.0000 0.0000 12.7033
Ag S Br
10 4 2
Direct
0.0632 0.9368 0.6176
0.0632 0.9368 0.8824
0.2056 0.7944 0.2500
0.2942 0.7058 0.5750
0.2942 0.7058 0.9250
0.7058 0.2942 0.0750
0.7058 0.2942 0.4250
0.7944 0.2056 0.7500
0.9368 0.0632 0.1176
0.9368 0.0632 0.3824
0.1291 0.8709 0.0723
0.1291 0.8709 0.4277
0.8709 0.1291 0.5723
0.8709 0.1291 0.9277
0.4174 0.5826 0.2500
0.5826 0.4174 0.7500
```

Principal peaks in the range 2θ = 5–70°, in order of falling intensity:
- d = 3.013 Å, 29.7 deg, I = 100.0
- d = 3.205 Å, 27.8 deg, I = 70.1
- d = 2.266 Å, 39.8 deg, I = 37.8
- d = 2.152 Å, 42.0 deg, I = 30.3
- d = 1.850 Å, 49.2 deg, I = 27.7
- d = 2.552 Å, 35.2 deg, I = 23.8
- d = 2.012 Å, 45.0 deg, I = 20.8
- d = 4.288 Å, 20.7 deg, I = 19.6
- d = 1.856 Å, 49.1 deg, I = 19.3
- d = 2.117 Å, 42.7 deg, I = 17.4
- d = 2.831 Å, 31.6 deg, I = 14.5
- d = 1.981 Å, 45.8 deg, I = 12.9


Ag3SBr2: calculated XRD peak list (λ = 1.5418 Å (Cu Kα)), based on a cell relaxed with GGA-PBE.
No peak broadening, texture or thermal motion is included.

Atomic structure:
```
Ag3SBr2
1.0
6.0712 -3.8099 0.0000
6.0712 3.8099 0.0000
-2.9868 0.0000 6.7544
Ag S Br
6 2 4
Direct
0.1685 0.8315 0.7500
0.2970 0.3900 0.8991
0.3900 0.2970 0.3991
0.6100 0.7030 0.6009
0.7030 0.6100 0.1009
0.8315 0.1685 0.2500
0.4908 0.5092 0.7500
0.5092 0.4908 0.2500
0.1268 0.2052 0.0401
0.2052 0.1268 0.5401
0.7948 0.8732 0.4599
0.8732 0.7948 0.9599
```

Principal peaks in the range 2θ = 5–70°, in order of falling intensity:
- d = 2.761 Å, 32.4 deg, I = 100.0
- d = 4.151 Å, 21.4 deg, I = 99.9
- d = 2.475 Å, 36.3 deg, I = 96.3
- d = 3.810 Å, 23.3 deg, I = 93.5
- d = 3.139 Å, 28.4 deg, I = 56.4
- d = 2.236 Å, 40.3 deg, I = 44.4
- d = 2.260 Å, 39.9 deg, I = 37.0
- d = 1.851 Å, 49.2 deg, I = 33.3
- d = 2.076 Å, 43.6 deg, I = 29.0
- d = 2.527 Å, 35.5 deg, I = 28.4
- d = 2.244 Å, 40.2 deg, I = 24.8
- d = 1.492 Å, 62.2 deg, I = 22.5


AgSBr: calculated XRD peak list (λ = 1.5418 Å (Cu Kα)), based on a cell relaxed with GGA-PBE.
No peak broadening, texture or thermal motion is included.

Atomic structure:
```
AgSBr
1.0
7.8909 0.0000 0.0000
0.0000 4.4314 0.0000
-1.3495 0.0000 11.5631
Ag S Br
4 4 4
Direct
0.1868 0.0000 0.4151
0.3132 0.5000 0.5849
0.6868 0.5000 0.4151
0.8132 0.0000 0.5849
0.0449 0.5000 0.9277
0.4551 0.0000 0.0723
0.5449 0.0000 0.9277
0.9551 0.5000 0.0723
0.1568 0.0000 0.6592
0.3432 0.5000 0.3408
0.6568 0.5000 0.6592
0.8432 0.0000 0.3408
```

Principal peaks in the range 2θ = 5–70°, in order of falling intensity:
- d = 11.563 Å, 7.6 deg, I = 100.0
- d = 3.592 Å, 24.8 deg, I = 23.5
- d = 2.251 Å, 40.1 deg, I = 20.3
- d = 3.854 Å, 23.1 deg, I = 15.9
- d = 2.808 Å, 31.9 deg, I = 13.5
- d = 2.379 Å, 37.8 deg, I = 12.7
- d = 3.724 Å, 23.9 deg, I = 12.0
- d = 2.035 Å, 44.5 deg, I = 9.9
- d = 2.216 Å, 40.7 deg, I = 8.5
- d = 2.207 Å, 40.9 deg, I = 6.4
- d = 2.169 Å, 41.6 deg, I = 5.9
- d = 2.891 Å, 30.9 deg, I = 5.3


Ag8S6Br: calculated XRD peak list (λ = 1.5418 Å (Cu Kα)), based on a cell relaxed with GGA-PBE.
No peak broadening, texture or thermal motion is included.

Atomic structure:
```
Ag8S6Br
1.0
5.8205 3.3605 3.1396
-5.8205 3.3605 3.1396
0.0000 -6.7209 3.1396
Ag S Br
8 6 1
Direct
0.1391 0.3506 0.7893
0.2107 0.8609 0.6494
0.2153 0.2153 0.2153
0.3506 0.7893 0.1391
0.6494 0.2107 0.8609
0.7847 0.7847 0.7847
0.7893 0.1391 0.3506
0.8609 0.6494 0.2107
0.0787 0.6586 0.8252
0.1748 0.9213 0.3414
0.3414 0.1748 0.9213
0.6586 0.8252 0.0787
0.8252 0.0787 0.6586
0.9213 0.3414 0.1748
0.5000 0.5000 0.5000
```

Principal peaks in the range 2θ = 5–70°, in order of falling intensity:
- d = 3.360 Å, 26.5 deg, I = 100.0
- d = 2.763 Å, 32.4 deg, I = 61.7
- d = 3.441 Å, 25.9 deg, I = 53.8
- d = 2.680 Å, 33.4 deg, I = 47.0
- d = 3.532 Å, 25.2 deg, I = 43.5
- d = 2.134 Å, 42.4 deg, I = 36.6
- d = 2.076 Å, 43.6 deg, I = 34.2
- d = 1.867 Å, 48.8 deg, I = 29.1
- d = 1.650 Å, 55.7 deg, I = 24.2
- d = 1.854 Å, 49.2 deg, I = 19.9
- d = 3.140 Å, 28.4 deg, I = 18.9
- d = 1.802 Å, 50.7 deg, I = 16.9


Ag7S2Br2: calculated XRD peak list (λ = 1.5418 Å (Cu Kα)), based on a cell relaxed with GGA-PBE.
No peak broadening, texture or thermal motion is included.

Atomic structure:
```
Ag7S2Br2
1.0
4.5227 -6.7406 0.0000
4.5227 6.7406 0.0000
-1.2225 0.0000 4.5792
Ag S Br
7 2 2
Direct
0.0000 0.0000 0.0000
0.0915 0.8088 0.5276
0.1356 0.3975 0.1348
0.2005 0.2005 0.6248
0.3975 0.1356 0.1348
0.5367 0.5367 0.9545
0.8088 0.0915 0.5276
0.4287 0.4287 0.4120
0.8084 0.8084 0.2835
0.3942 0.8405 0.8374
0.8405 0.3942 0.8374
```

Principal peaks in the range 2θ = 5–70°, in order of falling intensity:
- d = 2.849 Å, 31.4 deg, I = 100.0
- d = 7.333 Å, 12.1 deg, I = 73.9
- d = 2.162 Å, 41.8 deg, I = 59.9
- d = 3.669 Å, 24.3 deg, I = 56.6
- d = 3.223 Å, 27.7 deg, I = 37.7
- d = 6.741 Å, 13.1 deg, I = 30.9
- d = 2.165 Å, 41.7 deg, I = 30.1
- d = 2.669 Å, 33.6 deg, I = 28.9
- d = 2.482 Å, 36.2 deg, I = 27.2
- d = 2.714 Å, 33.0 deg, I = 26.5
- d = 2.444 Å, 36.8 deg, I = 26.5
- d = 2.334 Å, 38.6 deg, I = 24.9


Ag7S2Br2: calculated XRD peak list (λ = 1.5418 Å (Cu Kα)), based on a cell relaxed with GGA-PBE.
No peak broadening, texture or thermal motion is included.

Atomic structure:
```
Ag7S2Br2
1.0
4.1676 -4.4304 0.0000
4.1676 4.4304 0.0000
0.0000 0.0000 6.9784
Ag S Br
7 2 2
Direct
0.0000 0.0000 0.0000
0.0000 0.5000 0.2079
0.0000 0.5000 0.7921
0.5000 0.0000 0.2079
0.5000 0.0000 0.7921
0.5000 0.5000 0.2897
0.5000 0.5000 0.7103
0.2880 0.2880 0.0000
0.7120 0.7120 0.0000
0.2120 0.7880 0.5000
0.7880 0.2120 0.5000
```

Principal peaks in the range 2θ = 5–70°, in order of falling intensity:
- d = 2.290 Å, 39.3 deg, I = 100.0
- d = 3.036 Å, 29.4 deg, I = 82.3
- d = 3.025 Å, 29.5 deg, I = 53.4
- d = 2.060 Å, 44.0 deg, I = 49.8
- d = 2.215 Å, 40.7 deg, I = 44.2
- d = 2.084 Å, 43.4 deg, I = 39.9
- d = 2.784 Å, 32.2 deg, I = 36.8
- d = 3.578 Å, 24.9 deg, I = 30.7
- d = 1.465 Å, 63.5 deg, I = 29.5
- d = 2.675 Å, 33.5 deg, I = 28.7
- d = 2.111 Å, 42.8 deg, I = 27.8
- d = 1.518 Å, 61.1 deg, I = 23.8


Ag2SbS2Br: calculated XRD peak list (λ = 1.5418 Å (Cu Kα)), based on a cell relaxed with GGA-PBE.
No peak broadening, texture or thermal motion is included.

Atomic structure:
```
Ag2SbS2Br
1.0
6.2295 0.0000 0.0000
0.0000 6.8087 0.0000
-0.3810 0.0000 6.8564
Ag Sb S Br
4 2 4 2
Direct
0.0128 0.2500 0.2920
0.3847 0.2500 0.5566
0.6153 0.7500 0.4434
0.9872 0.7500 0.7080
0.4053 0.2500 0.1157
0.5947 0.7500 0.8843
0.2905 0.0007 0.8384
0.2905 0.4993 0.8384
0.7095 0.5007 0.1616
0.7095 0.9993 0.1616
0.1821 0.7500 0.3713
0.8179 0.2500 0.6287
```

Principal peaks in the range 2θ = 5–70°, in order of falling intensity:
- d = 3.404 Å, 26.2 deg, I = 100.0
- d = 2.829 Å, 31.6 deg, I = 68.0
- d = 3.062 Å, 29.2 deg, I = 56.1
- d = 2.803 Å, 31.9 deg, I = 51.9
- d = 1.945 Å, 46.7 deg, I = 46.2
- d = 2.570 Å, 34.9 deg, I = 38.4
- d = 2.223 Å, 40.6 deg, I = 35.5
- d = 4.831 Å, 18.4 deg, I = 29.1
- d = 2.712 Å, 33.0 deg, I = 26.1
- d = 1.702 Å, 53.9 deg, I = 24.1
- d = 1.983 Å, 45.7 deg, I = 22.7
- d = 2.370 Å, 38.0 deg, I = 22.4